No. 1
For Rb2LiH6Pd, the PBE geometry in Alexandria gives the theoretical XRD peak list in this record (Cu Kα, 1.54184 Å).
Kinematic intensities with the Lorentz-polarization factor, no thermal factor.

Most intense lines, 2θ = 10–90°, low angle first:
2θ (°)  intensity
17.71  15
24.72  100
29.87  78
34.93  15
39.15  31
39.98  33
50.01  28
50.70  17
53.02  15
59.96  21

Atomic structure:
```
10
Lattice="5.9830 0.0000 0.0000 -2.9915 5.1814 0.0000 0.0000 0.0000 5.0091" Properties=species:S:1:pos:R:3 pbc="T T T"
Rb 0.0000 3.4543 1.2161
Rb 2.9915 1.7271 3.7930
Li 0.0000 0.0000 2.5045
H 0.0000 1.3756 3.9828
H -1.8001 4.4936 3.9828
H 1.1913 0.6878 1.0262
H 1.8001 4.4936 3.9828
H 4.7916 0.6878 1.0262
H 2.9915 3.8058 1.0262
Pd 0.0000 0.0000 0.0000
```

***

No. 2
For Li2H6Pd3Rh, the PBE geometry in Alexandria gives the theoretical XRD peak list in this record (Cu Kα, 1.54184 Å).
Kinematic intensities with the Lorentz-polarization factor, no thermal factor.

Most intense lines, 2θ = 10–90°, low angle first:
2θ (°)  intensity
23.26  18
29.41  26
30.45  19
33.38  21
37.83  100
42.08  42
61.02  14
64.62  13
65.34  14
74.08  27

Atomic structure:
```
12
Lattice="3.0369 0.0000 0.0000 0.0000 3.0369 0.0000 0.0000 0.0000 11.4735" Properties=species:S:1:pos:R:3 pbc="T T T"
Li 0.0000 0.0000 1.7084
Li 0.0000 0.0000 9.7651
H 0.0000 1.5184 4.6394
H 0.0000 1.5184 6.8341
H 1.5184 0.0000 4.6394
H 1.5184 0.0000 6.8341
H 1.5184 1.5184 1.7318
H 1.5184 1.5184 9.7417
Pd 1.5184 1.5184 0.0000
Pd 1.5184 1.5184 3.5250
Pd 1.5184 1.5184 7.9486
Rh 0.0000 0.0000 5.7368
```

***

No. 3
For LiH5Pd2Rh, the PBE geometry in Alexandria gives the theoretical XRD peak list in this record (Cu Kα, 1.54184 Å).
Kinematic intensities with the Lorentz-polarization factor, no thermal factor.

Most intense lines, 2θ = 10–90°, low angle first:
2θ (°)  intensity
17.87  16
21.40  33
36.20  25
37.42  100
37.74  13
39.41  22
54.58  16
65.90  14
70.16  16
79.81  10

Atomic structure:
```
9
Lattice="-1.7182 2.2862 4.9635 1.7182 -2.2862 4.9635 1.7182 2.2862 -4.9635" Properties=species:S:1:pos:R:3 pbc="T T T"
Li 0.0000 0.0000 0.0000
H 1.7182 1.1882 -1.3809
H 1.7182 1.1882 1.3809
H 0.0000 2.2862 0.0000
H 0.0000 1.0980 3.5826
H 0.0000 1.0980 6.3444
Pd 1.7182 0.0000 2.6504
Pd 0.0000 2.2862 2.3131
Rh 0.0000 0.0000 4.9635
```

***

Repeat the second record exactly.
For Li2H6Pd3Rh, the PBE geometry in Alexandria gives the theoretical XRD peak list in this record (Cu Kα, 1.54184 Å).
Kinematic intensities with the Lorentz-polarization factor, no thermal factor.

Most intense lines, 2θ = 10–90°, low angle first:
2θ (°)  intensity
23.26  18
29.41  26
30.45  19
33.38  21
37.83  100
42.08  42
61.02  14
64.62  13
65.34  14
74.08  27

Atomic structure:
```
12
Lattice="3.0369 0.0000 0.0000 0.0000 3.0369 0.0000 0.0000 0.0000 11.4735" Properties=species:S:1:pos:R:3 pbc="T T T"
Li 0.0000 0.0000 1.7084
Li 0.0000 0.0000 9.7651
H 0.0000 1.5184 4.6394
H 0.0000 1.5184 6.8341
H 1.5184 0.0000 4.6394
H 1.5184 0.0000 6.8341
H 1.5184 1.5184 1.7318
H 1.5184 1.5184 9.7417
Pd 1.5184 1.5184 0.0000
Pd 1.5184 1.5184 3.5250
Pd 1.5184 1.5184 7.9486
Rh 0.0000 0.0000 5.7368
```

***

Question: Number 3 is which compound?
Answer: LiH5Pd2Rh